Computed powder diffraction line list
Compound: Hf5MnSb2
Radiation: Cu Kα (λ = 1.5418 Å)
Structure: DFT lattice parameters and positions (GGA-PBE)
Intensities are scaled so that the largest is 100.

Crystal structure
a b c (Å): 10.9723 10.9723 5.5830
angles (deg): 90.00 90.00 90.00
Space group I4/mcm (No. 140)
Symmetry-distinct sites (fractional):
Hf (0.0000, 0.5000, 0.2500)
Hf (0.0697, 0.1992, 0.0000)
Mn (0.0000, 0.0000, 0.2500)
Sb (0.1643, 0.3357, 0.5000)

Most intense lines, 10 to 80 degrees two-theta, in order of falling intensity:
(hkl), d [Å], 2θ/deg, Rel. int.
4 1 1, 2.402, 37.4, 100
3 2 1, 2.672, 33.5, 44
2 2 2, 2.266, 39.8, 30
4 1 3, 1.525, 60.7, 24
0 0 2, 2.791, 32.1, 23
2 0 2, 2.488, 36.1, 22
4 2 0, 2.453, 36.6, 22
3 3 0, 2.586, 34.7, 19
3 1 0, 3.470, 25.7, 16
5 5 0, 1.552, 59.6, 15